[1]
Diffraction record for Sr4Nb2O9. The powder X-ray diffraction pattern is simulated, not measured: it uses a DFT-relaxed cell (GGA-PBE, Alexandria) and Cu Ka.

```
data_Sr4Nb2O9
_cell_length_a 5.8668
_cell_length_b 5.8855
_cell_length_c 15.0274
_cell_angle_alpha 89.96
_cell_angle_beta 88.57
_cell_angle_gamma 60.17
_symmetry_space_group_name_H-M 'P 1'
_symmetry_Int_Tables_number 1
loop_
_symmetry_equiv_pos_as_xyz
'x,y,z'
loop_
_atom_site_label
_atom_site_fract_x
_atom_site_fract_y
_atom_site_fract_z
Sr1 0.0000 0.0000 0.0000
Sr2 0.0013 0.0264 0.4719
Sr3 0.3174 0.3498 0.3142
Sr4 0.3379 0.3276 0.8064
Sr5 0.3456 0.3520 0.5706
Sr6 0.6560 0.6725 0.9010
Sr7 0.6638 0.6977 0.6651
Sr8 0.6841 0.6675 0.1572
Nb1 0.0012 0.0107 0.2360
Nb2 0.0008 0.0125 0.7359
Nb3 0.3497 0.3346 0.0703
Nb4 0.6517 0.6868 0.4013
O1 0.1099 0.4806 0.9772
O2 0.1172 0.2111 0.1475
O3 0.1281 0.7029 0.1492
O4 0.2035 0.9442 0.8535
O5 0.2366 0.1315 0.6789
O6 0.2526 0.6522 0.6890
O7 0.3620 0.8485 0.2858
O8 0.4117 0.5769 0.4414
O9 0.4431 0.0373 0.4451
O10 0.5623 0.9860 0.0267
O11 0.5875 0.4493 0.0298
O12 0.6412 0.1858 0.1859
O13 0.7488 0.3729 0.7825
O14 0.7649 0.8935 0.7928
O15 0.7978 0.0807 0.6181
O16 0.8722 0.3323 0.3218
O17 0.8890 0.8213 0.3250
O18 0.8913 0.5418 0.4946
```

Most intense lines, 10° ≤ 2θ ≤ 80°, most intense first:
- 2θ = 29.3°, I 100, hkl 1 1 4
- 2θ = 30.4°, I 93, hkl 1 -1 0
- 2θ = 30.5°, I 48, hkl 2 1 0
- 2θ = 30.0°, I 41, hkl 1 0 -4
- 2θ = 54.1°, I 29, hkl -2 1 4
- 2θ = 43.1°, I 28, hkl 0 2 4

[2]
Diffraction record for Sr4Nb2O9. The powder X-ray diffraction pattern is simulated, not measured: it uses a DFT-relaxed cell (GGA-PBE, Alexandria) and Cu Ka.

```
data_Sr4Nb2O9
_cell_length_a 10.2372
_cell_length_b 17.9302
_cell_length_c 10.3641
_cell_angle_alpha 90.00
_cell_angle_beta 109.96
_cell_angle_gamma 90.00
_symmetry_space_group_name_H-M 'C 1 2/c 1'
_symmetry_Int_Tables_number 15
loop_
_symmetry_equiv_pos_as_xyz
'x,y,z'
'-x,-y,-z'
'-x,y,-z+1/2'
'x,-y,z+1/2'
'x+1/2,y+1/2,z'
'-x+1/2,-y+1/2,-z'
'-x+1/2,y+1/2,-z+1/2'
'x+1/2,-y+1/2,z+1/2'
loop_
_atom_site_label
_atom_site_fract_x
_atom_site_fract_y
_atom_site_fract_z
Sr1 0.0000 0.1072 0.2500
Sr2 0.0000 0.2580 0.7500
Sr3 0.1174 0.2739 0.1266
Sr4 0.1196 0.0749 0.6266
Sr5 0.1296 0.4220 0.6188
Nb1 0.0000 0.4239 0.2500
Nb2 0.2470 0.0798 0.9990
Nb3 0.2500 0.2500 0.5000
O1 0.0828 0.1846 0.4633
O2 0.0924 0.4958 0.3935
O3 0.0966 0.3513 0.9203
O4 0.1135 0.3346 0.3811
O5 0.1284 0.1525 0.8813
O6 0.1436 0.0094 0.4032
O7 0.1539 0.4229 0.1715
O8 0.1736 0.0699 0.1426
O9 0.2205 0.2881 0.6709
```

Most intense lines, 10° ≤ 2θ ≤ 80°, most intense first:
- 2θ = 30.2°, I 100, hkl 3 3 -1
- 2θ = 29.9°, I 99, hkl 1 3 -3
- 2θ = 43.0°, I 36, hkl 2 6 2
- 2θ = 53.2°, I 22, hkl 4 6 -4
- 2θ = 42.9°, I 19, hkl 4 0 -4
- 2θ = 53.0°, I 18, hkl 2 0 -6

[3]
Diffraction record for Sr4Nb2O9. The powder X-ray diffraction pattern is simulated, not measured: it uses a DFT-relaxed cell (GGA-PBE, Alexandria) and Cu Ka.

```
data_Sr4Nb2O9
_cell_length_a 5.9453
_cell_length_b 5.9453
_cell_length_c 15.9107
_cell_angle_alpha 90.00
_cell_angle_beta 90.00
_cell_angle_gamma 120.00
_symmetry_space_group_name_H-M 'P 63/m'
_symmetry_Int_Tables_number 176
_symmetry_space_group_name_Hall '-P 6c'
loop_
_atom_site_label
_atom_site_fract_x
_atom_site_fract_y
_atom_site_fract_z
Sr1 0.0000 0.0000 0.0000
Sr2 0.0000 0.0000 0.2500
Sr3 0.3333 0.6667 0.1400
Nb1 0.3333 0.6667 0.6540
O1 0.0365 0.5927 0.7500
O2 0.0789 0.3504 0.6024
```

Most intense lines, 10° ≤ 2θ ≤ 80°, most intense first:
- 2θ = 30.1°, I 100, hkl 1 1 0
- 2θ = 28.4°, I 97, hkl 1 0 4
- 2θ = 41.8°, I 50, hkl 2 0 4
- 2θ = 52.3°, I 36, hkl 2 1 4
- 2θ = 53.4°, I 29, hkl 3 0 0
- 2θ = 45.9°, I 25, hkl 1 1 6

Q: What is the formula in the second record?
A: Sr4Nb2O9